(1)
Structure and simulated PXRD pattern of Na2RuW2 (a cell relaxed with PBE; copper Kα).
Intensities are scaled so that the largest is 100.

Top 6 peaks for 2θ = 10–90°, by angle:
d (Å)	Position (°2θ)	I_rel
4.881	18.2	100
2.441	36.8	22
2.403	37.4	84
2.211	40.8	26
1.972	46.0	37
1.534	60.3	24

Crystal structure
```
Na2RuW2
1.0
-1.7535 1.7535 9.7624
1.7535 -1.7535 9.7624
1.7535 1.7535 -9.7624
Na Ru W
2 1 2
Direct
0.1010 0.1010 0.0000
0.8990 0.8990 0.0000
0.5000 0.5000 0.0000
0.2500 0.7500 0.5000
0.7500 0.2500 0.5000
```


(2)
Structure and simulated PXRD pattern of Si3Au10 (a cell relaxed with PBE; copper Kα).
Intensities are scaled so that the largest is 100.

Top 6 peaks for 2θ = 10–90°, by angle:
d (Å)	Position (°2θ)	I_rel
3.084	28.9	24
2.438	36.9	15
2.299	39.2	100
1.626	56.6	13
1.327	71.0	28
1.281	74.0	14

Crystal structure
```
Si3Au10
1.0
-4.8768 4.8768 4.8768
4.8768 -4.8768 4.8768
4.8768 4.8768 -4.8768
Si Au
6 20
Direct
0.0000 0.3007 0.3007
0.0000 0.6993 0.6993
0.3007 0.0000 0.3007
0.3007 0.3007 0.0000
0.6993 0.0000 0.6993
0.6993 0.6993 0.0000
0.0000 0.0000 0.3238
0.0000 0.0000 0.6900
0.0000 0.3168 0.6076
0.0000 0.3238 0.0000
0.0000 0.6076 0.3168
0.0000 0.6900 0.0000
0.2908 0.6832 0.6832
0.3100 0.3100 0.3100
0.3168 0.0000 0.6076
0.3168 0.6076 0.0000
0.3238 0.0000 0.0000
0.3924 0.3924 0.7092
0.3924 0.7092 0.3924
0.6076 0.0000 0.3168
0.6076 0.3168 0.0000
0.6762 0.6762 0.6762
0.6832 0.2908 0.6832
0.6832 0.6832 0.2908
0.6900 0.0000 0.0000
0.7092 0.3924 0.3924
```


(3)
Structure and simulated PXRD pattern of Ac3Tb2Mg2 (a cell relaxed with PBE; copper Kα).
Intensities are scaled so that the largest is 100.

Top 6 peaks for 2θ = 10–90°, by angle:
d (Å)	Position (°2θ)	I_rel
5.365	16.5	53
3.066	29.1	80
2.960	30.2	100
2.761	32.4	41
2.749	32.6	44
2.616	34.3	35

Crystal structure
```
Ac3Tb2Mg2
1.0
2.7487 -12.2942 0.0000
2.7487 12.2942 0.0000
0.0000 0.0000 3.7358
Ac Tb Mg
3 2 2
Direct
0.0000 0.0000 0.0000
0.1514 0.8486 0.0000
0.8486 0.1514 0.0000
0.2858 0.7142 0.5000
0.7142 0.2858 0.5000
0.4289 0.5711 0.5000
0.5711 0.4289 0.5000
```


(4)
Structure and simulated PXRD pattern of TcRuPt (a cell relaxed with PBE; copper Kα).
Intensities are scaled so that the largest is 100.

Top 6 peaks for 2θ = 10–90°, by angle:
d (Å)	Position (°2θ)	I_rel
2.254	40.0	31
2.244	40.2	100
1.946	46.7	62
1.378	68.0	22
1.374	68.3	19
1.173	82.2	23

Crystal structure
```
TcRuPt
1.0
2.7474 0.0000 0.0000
-1.3737 2.3793 0.0000
0.0000 0.0000 6.7608
Tc Ru Pt
1 1 1
Direct
0.0000 0.0000 0.0000
0.3333 0.6667 0.6939
0.6667 0.3333 0.3444
```


(5)
Structure and simulated PXRD pattern of KAlIr2 (a cell relaxed with PBE; copper Kα).
Intensities are scaled so that the largest is 100.

Top 6 peaks for 2θ = 10–90°, by angle:
d (Å)	Position (°2θ)	I_rel
8.692	10.2	80
2.897	30.9	49
2.861	31.3	69
2.389	37.6	100
2.036	44.5	63
2.023	44.8	54

Crystal structure
```
KAlIr2
1.0
2.8607 0.0000 0.0000
0.0000 2.8607 0.0000
0.0000 0.0000 8.6918
K Al Ir
1 1 2
Direct
0.0000 0.0000 0.0000
0.0000 0.0000 0.5000
0.5000 0.5000 0.3121
0.5000 0.5000 0.6879
```


(6)
Structure and simulated PXRD pattern of Nd3PtAu (a cell relaxed with PBE; copper Kα).
Intensities are scaled so that the largest is 100.

Top 6 peaks for 2θ = 10–90°, by angle:
d (Å)	Position (°2θ)	I_rel
2.899	30.8	55
2.813	31.8	47
2.763	32.4	100
2.627	34.1	72
2.481	36.2	50
2.367	38.0	73

Crystal structure
```
Nd3PtAu
1.0
7.5397 0.0000 0.0000
0.0000 4.7342 0.0000
0.0000 0.0000 15.7896
Nd Pt Au
12 4 4
Direct
0.0126 0.2500 0.1046
0.1312 0.7500 0.4437
0.1816 0.2500 0.7248
0.3184 0.7500 0.2248
0.3688 0.2500 0.9437
0.4874 0.7500 0.6046
0.5126 0.2500 0.3954
0.6312 0.7500 0.0563
0.6816 0.2500 0.7752
0.8184 0.7500 0.2752
0.8688 0.2500 0.5563
0.9874 0.7500 0.8954
0.2315 0.7500 0.0448
0.2685 0.2500 0.5448
0.7315 0.7500 0.4552
0.7685 0.2500 0.9552
0.1094 0.2500 0.3060
0.3906 0.7500 0.8060
0.6094 0.2500 0.1940
0.8906 0.7500 0.6940
```


(7)
Structure and simulated PXRD pattern of Y3In3Ag2 (a cell relaxed with PBE; copper Kα).
Intensities are scaled so that the largest is 100.

Top 6 peaks for 2θ = 10–90°, by angle:
d (Å)	Position (°2θ)	I_rel
2.721	32.9	100
2.554	35.1	75
2.524	35.6	51
2.252	40.0	25
2.119	42.7	28
1.523	60.8	29

Crystal structure
```
Y3In3Ag2
1.0
7.8022 0.0000 0.0000
-3.9011 6.7569 0.0000
0.0000 0.0000 3.7959
Y In Ag
3 3 2
Direct
0.0000 0.4012 0.0000
0.4012 0.0000 0.0000
0.5988 0.5988 0.0000
0.0000 0.7598 0.5000
0.2402 0.2402 0.5000
0.7598 0.0000 0.5000
0.3333 0.6667 0.5000
0.6667 0.3333 0.5000
```


(8)
Structure and simulated PXRD pattern of AgRhSe2 (a cell relaxed with PBE; copper Kα).
Intensities are scaled so that the largest is 100.

Top 6 peaks for 2θ = 10–90°, by angle:
d (Å)	Position (°2θ)	I_rel
7.266	12.2	46
3.144	28.4	75
2.863	31.2	100
2.316	38.9	75
2.121	42.6	49
1.815	50.3	52

Crystal structure
```
AgRhSe2
1.0
7.3819 0.0000 0.0000
0.0000 3.7493 0.0000
-1.1485 0.0000 6.4096
Ag Rh Se
2 2 4
Direct
0.0000 0.0000 0.0000
0.0000 0.0000 0.5000
0.5002 0.2463 0.2508
0.5002 0.7537 0.7508
0.3261 0.2445 0.5477
0.3261 0.7555 0.0477
0.6742 0.2446 0.9538
0.6742 0.7554 0.4538
```


(9)
Structure and simulated PXRD pattern of CsNpRhSe4 (a cell relaxed with PBE; copper Kα).
Intensities are scaled so that the largest is 100.

Top 6 peaks for 2θ = 10–90°, by angle:
d (Å)	Position (°2θ)	I_rel
4.533	19.6	56
3.147	28.4	64
3.085	28.9	57
3.023	29.6	100
2.803	31.9	99
2.450	36.7	60

Crystal structure
```
CsNpRhSe4
1.0
6.9225 0.0000 0.0000
0.0000 6.1702 0.0000
-2.5714 0.0000 9.5002
Cs Np Rh Se
2 2 2 8
Direct
0.2403 0.2500 0.0472
0.7597 0.7500 0.9528
0.2495 0.2500 0.5421
0.7505 0.7500 0.4579
0.2388 0.7500 0.3624
0.7612 0.2500 0.6376
0.0275 0.5105 0.6964
0.0275 0.9895 0.6964
0.4477 0.7500 0.5971
0.4608 0.7500 0.2067
0.5392 0.2500 0.7933
0.5523 0.2500 0.4029
0.9725 0.0105 0.3036
0.9725 0.4895 0.3036
```


(10)
Structure and simulated PXRD pattern of Zr6BeN4 (a cell relaxed with PBE; copper Kα).
Intensities are scaled so that the largest is 100.

Top 6 peaks for 2θ = 10–90°, by angle:
d (Å)	Position (°2θ)	I_rel
2.763	32.4	60
2.539	35.3	66
2.525	35.6	100
2.429	37.0	41
2.358	38.2	75
1.614	57.1	39

Crystal structure
```
Zr6BeN4
1.0
1.6503 -5.5046 0.0000
1.6503 5.5046 0.0000
0.0000 0.0000 17.0508
Zr Be N
12 2 8
Direct
0.0000 0.0000 0.0000
0.0000 0.0000 0.5000
0.1596 0.8404 0.7500
0.2761 0.7239 0.0800
0.2761 0.7239 0.4200
0.4601 0.5399 0.6548
0.4601 0.5399 0.8452
0.5399 0.4601 0.1548
0.5399 0.4601 0.3452
0.7239 0.2761 0.5800
0.7239 0.2761 0.9200
0.8404 0.1596 0.2500
0.1600 0.8400 0.2500
0.8400 0.1600 0.7500
0.0936 0.9064 0.6229
0.0936 0.9064 0.8771
0.3628 0.6372 0.5399
0.3628 0.6372 0.9601
0.6372 0.3628 0.0399
0.6372 0.3628 0.4601
0.9064 0.0936 0.1229
0.9064 0.0936 0.3771
```


(11)
Structure and simulated PXRD pattern of LaAlZn2Pd2 (a cell relaxed with PBE; copper Kα).
Intensities are scaled so that the largest is 100.

Top 6 peaks for 2θ = 10–90°, by angle:
d (Å)	Position (°2θ)	I_rel
2.858	31.3	100
2.475	36.3	57
2.316	38.9	69
1.691	54.2	35
1.638	56.2	23
1.421	65.7	26

Crystal structure
```
LaAlZn2Pd2
1.0
4.6320 0.0000 0.0000
0.0000 4.6320 0.0000
0.0000 0.0000 5.8547
La Al Zn Pd
1 1 2 2
Direct
0.0000 0.0000 0.0000
0.0000 0.0000 0.5000
0.5000 0.5000 0.2446
0.5000 0.5000 0.7554
0.0000 0.5000 0.5000
0.5000 0.0000 0.5000
```


(12)
Structure and simulated PXRD pattern of Pu6NpPd5 (a cell relaxed with PBE; copper Kα).
Intensities are scaled so that the largest is 100.

Top 6 peaks for 2θ = 10–90°, by angle:
d (Å)	Position (°2θ)	I_rel
2.538	35.4	100
2.501	35.9	79
2.480	36.2	87
2.420	37.1	83
2.404	37.4	89
2.370	38.0	82

Crystal structure
```
Pu6NpPd5
1.0
5.0237 0.0000 0.0000
0.0211 6.9273 0.0000
1.8512 3.2428 7.2135
Pu Np Pd
6 1 5
Direct
0.0024 0.2480 0.9998
0.3746 0.5802 0.3339
0.3868 0.0750 0.3248
0.6132 0.9250 0.6752
0.6254 0.4198 0.6661
0.9976 0.7520 0.0002
0.5000 0.0000 0.0000
0.1146 0.6741 0.6628
0.1190 0.1679 0.6607
0.5000 0.5000 0.0000
0.8810 0.8321 0.3393
0.8854 0.3259 0.3372
```